Structure and simulated powder XRD pattern of Er5Ir3 (a crystal structure in the Materials Project, relaxed with GGA-PBE; Cu Kα).
No peak broadening, texture or thermal motion is included.

Peak list (10 most intense, 2θ from 5° to 70°, most intense first)
2θ (°)  Rel. int.  hkl
37.20  100  4 2 0
33.85  42  2 1 2
29.73  38  3 1 1
33.09  33  3 2 1
38.79  25  3 1 2
46.97  21  2 1 3
37.84  20  3 0 2
47.59  17  5 2 1
23.16  16  2 1 1
59.66  14  1 1 4

```
32
Lattice="10.796 0.000 0.000 0.000 10.796 0.000 0.000 0.000 6.334" Properties=species:S:1:pos:R:3 pbc="T T T"
Er 0.442 1.751 0.773
Er 0.442 3.647 3.939
Er 1.751 0.442 3.939
Er 1.751 4.956 0.773
Er 2.699 8.097 0.000
Er 2.699 8.097 3.167
Er 3.647 0.442 0.773
Er 3.647 4.956 3.939
Er 4.956 1.751 3.939
Er 4.956 3.647 0.773
Er 5.840 7.149 5.561
Er 5.840 9.045 2.394
Er 7.149 5.840 2.394
Er 7.149 10.354 5.561
Er 8.097 2.699 0.000
Er 8.097 2.699 3.167
Er 9.045 5.840 5.561
Er 9.045 10.354 2.394
Er 10.354 7.149 2.394
Er 10.354 9.045 5.561
Ir 1.037 6.435 4.750
Ir 1.037 9.759 1.583
Ir 2.699 2.699 2.413
Ir 2.699 2.699 5.580
Ir 4.361 6.435 1.583
Ir 4.361 9.759 4.750
Ir 6.435 1.037 1.583
Ir 6.435 4.361 4.750
Ir 8.097 8.097 0.754
Ir 8.097 8.097 3.921
Ir 9.759 1.037 4.750
Ir 9.759 4.361 1.583
```